(1)
Structure and computed X-ray powder pattern of ErCuCl4 (DFT lattice parameters and positions (GGA-PBE); Cu Ka).
Peak positions follow from Bragg's law for the DFT cell and can differ from measured ones.

Principal peaks in the range 2θ from 10° to 90°, by angle:
6.414 Å, 13.81°, I 100
3.467 Å, 25.69°, I 14
3.368 Å, 26.46°, I 14
3.078 Å, 29.01°, I 31
2.969 Å, 30.09°, I 46
2.334 Å, 38.58°, I 22
2.311 Å, 38.98°, I 26
1.982 Å, 45.77°, I 15

Atomic structure:
```
data_ErCuCl4
_chemical_formula_sum 'Er2 Cu2 Cl8'
_cell_length_a 6.936
_cell_length_b 3.854
_cell_length_c 14.454
_cell_angle_alpha 90.00
_cell_angle_beta 117.45
_cell_angle_gamma 90.00
_space_group_name_H-M_alt 'P 1 21/c 1'
_space_group_IT_number 14
_space_group_name_Hall '-P 2ybc'
loop_
_atom_site_label
_atom_site_fract_x
_atom_site_fract_y
_atom_site_fract_z
Er1 0.000 0.000 0.000
Cu1 0.500 0.000 0.500
Cl1 0.010 0.000 0.627
Cl2 0.425 0.102 0.092
```

(2)
Structure and computed X-ray powder pattern of Pa4As6O19 (DFT lattice parameters and positions (GGA-PBE); Cu Ka).
Peak positions follow from Bragg's law for the DFT cell and can differ from measured ones.

Principal peaks in the range 2θ from 10° to 90°, by angle:
6.984 Å, 12.67°, I 45
4.032 Å, 22.04°, I 49
3.960 Å, 22.45°, I 100
3.764 Å, 23.64°, I 68
3.089 Å, 28.90°, I 79
2.994 Å, 29.85°, I 50
2.825 Å, 31.67°, I 76
2.640 Å, 33.96°, I 37

Atomic structure:
```
data_Pa4As6O19
_chemical_formula_sum 'Pa12 As18 O57'
_cell_length_a 13.9688
_cell_length_b 13.9688
_cell_length_c 7.9212
_cell_angle_alpha 90.00
_cell_angle_beta 90.00
_cell_angle_gamma 120.00
_space_group_name_H-M_alt 'R 3'
_space_group_IT_number 146
_space_group_name_Hall 'R 3'
loop_
_atom_site_label
_atom_site_fract_x
_atom_site_fract_y
_atom_site_fract_z
Pa1 0.0000 0.0000 0.0000
Pa2 0.1824 0.0853 0.4015
As1 0.0448 0.4320 0.3764
As2 0.1133 0.6844 0.6085
O1 0.0000 0.0000 0.2692
O2 0.0420 0.3343 0.9275
O3 0.0587 0.9040 0.8622
O4 0.0745 0.9117 0.4625
O5 0.0915 0.7569 0.0550
O6 0.1692 0.4295 0.3268
O7 0.1826 0.1103 0.1099
```

(3)
Structure and computed X-ray powder pattern of Ba6RuAu (DFT lattice parameters and positions (GGA-PBE); Cu Ka).
Peak positions follow from Bragg's law for the DFT cell and can differ from measured ones.

Principal peaks in the range 2θ from 10° to 90°, by angle:
5.836 Å, 15.18°, I 39
3.487 Å, 25.54°, I 100
2.723 Å, 32.89°, I 53
2.270 Å, 39.71°, I 37
2.120 Å, 42.65°, I 23
1.903 Å, 47.79°, I 16
1.744 Å, 52.48°, I 15
1.452 Å, 64.16°, I 15

Atomic structure:
```
data_Ba6RuAu
_chemical_formula_sum 'Ba6 Ru1 Au1'
_cell_length_a 7.860
_cell_length_b 7.865
_cell_length_c 8.806
_cell_angle_alpha 89.98
_cell_angle_beta 63.52
_cell_angle_gamma 60.02
_space_group_name_H-M_alt 'P -1'
_space_group_IT_number 2
_space_group_name_Hall '-P 1'
loop_
_atom_site_label
_atom_site_fract_x
_atom_site_fract_y
_atom_site_fract_z
Ba1 0.024 0.394 0.237
Ba2 0.342 0.919 0.762
Ba3 0.344 0.761 0.237
Ru1 0.500 0.000 0.000
Au1 0.500 0.500 0.500
```

(4)
Structure and computed X-ray powder pattern of YMg (DFT lattice parameters and positions (GGA-PBE); Cu Ka).
Peak positions follow from Bragg's law for the DFT cell and can differ from measured ones.

Principal peaks in the range 2θ from 10° to 90°, by angle:
4.894 Å, 18.12°, I 27
3.494 Å, 25.49°, I 22
3.044 Å, 29.34°, I 23
2.749 Å, 32.58°, I 25
2.733 Å, 32.77°, I 27
2.671 Å, 33.56°, I 100
1.938 Å, 46.88°, I 18
1.566 Å, 59.00°, I 19

Atomic structure:
```
data_YMg
_chemical_formula_sum 'Y4 Mg4'
_cell_length_a 3.685
_cell_length_b 5.466
_cell_length_c 10.994
_cell_angle_alpha 90.00
_cell_angle_beta 90.00
_cell_angle_gamma 90.00
_space_group_name_H-M_alt 'I m m a'
_space_group_IT_number 74
_space_group_name_Hall '-I 2b 2'
loop_
_atom_site_label
_atom_site_fract_x
_atom_site_fract_y
_atom_site_fract_z
Y1 0.000 0.250 0.114
Mg1 0.000 0.250 0.643
```

(5)
Structure and computed X-ray powder pattern of Rb2HfV (DFT lattice parameters and positions (GGA-PBE); Cu Ka).
Peak positions follow from Bragg's law for the DFT cell and can differ from measured ones.

Principal peaks in the range 2θ from 10° to 90°, by angle:
6.879 Å, 12.87°, I 100
4.864 Å, 18.24°, I 26
4.351 Å, 20.41°, I 36
3.753 Å, 23.71°, I 93
3.440 Å, 25.90°, I 43
3.076 Å, 29.02°, I 86
2.175 Å, 41.51°, I 24
2.080 Å, 43.52°, I 31

Atomic structure:
```
data_Rb2HfV
_chemical_formula_sum 'Rb8 Hf4 V4'
_cell_length_a 13.758
_cell_length_b 13.758
_cell_length_c 4.735
_cell_angle_alpha 90.00
_cell_angle_beta 90.00
_cell_angle_gamma 90.00
_space_group_name_H-M_alt 'I -4 2 d'
_space_group_IT_number 122
_space_group_name_Hall 'I -4 2bw'
loop_
_atom_site_label
_atom_site_fract_x
_atom_site_fract_y
_atom_site_fract_z
Rb1 0.083 0.750 0.125
Hf1 0.000 0.000 0.500
V1 0.000 0.000 0.000
```

(6)
Structure and computed X-ray powder pattern of DyY3Tl3Te8 (DFT lattice parameters and positions (GGA-PBE); Cu Ka).
Peak positions follow from Bragg's law for the DFT cell and can differ from measured ones.

Principal peaks in the range 2θ from 10° to 90°, by angle:
7.273 Å, 12.17°, I 11
3.235 Å, 27.57°, I 100
2.388 Å, 37.66°, I 39
2.198 Å, 41.06°, I 36
1.818 Å, 50.17°, I 19
1.618 Å, 56.93°, I 12
1.497 Å, 61.99°, I 15
1.401 Å, 66.76°, I 16

Atomic structure:
```
data_DyY3Tl3Te8
_chemical_formula_sum 'Dy2 Y6 Tl6 Te16'
_cell_length_a 15.246
_cell_length_b 8.785
_cell_length_c 9.632
_cell_angle_alpha 90.00
_cell_angle_beta 121.90
_cell_angle_gamma 90.00
_space_group_name_H-M_alt 'C 1 2/m 1'
_space_group_IT_number 12
_space_group_name_Hall '-C 2y'
loop_
_atom_site_label
_atom_site_fract_x
_atom_site_fract_y
_atom_site_fract_z
Dy1 0.000 0.000 0.000
Y1 0.000 0.500 0.000
Y2 0.250 0.250 0.000
Tl1 0.000 0.000 0.500
Tl2 0.250 0.250 0.500
Te1 0.012 0.251 0.784
Te2 0.239 0.000 0.216
Te3 0.239 0.500 0.216
```

(7)
Structure and computed X-ray powder pattern of CuReRuI2 (DFT lattice parameters and positions (GGA-PBE); Cu Ka).
Peak positions follow from Bragg's law for the DFT cell and can differ from measured ones.

Principal peaks in the range 2θ from 10° to 90°, by angle:
5.399 Å, 16.42°, I 72
4.710 Å, 18.84°, I 38
2.966 Å, 30.13°, I 41
2.700 Å, 33.18°, I 100
2.355 Å, 38.21°, I 34
1.909 Å, 47.64°, I 36
1.775 Å, 51.49°, I 57
1.483 Å, 62.64°, I 31

Atomic structure:
```
data_CuReRuI2
_chemical_formula_sum 'Cu1 Re1 Ru1 I2'
_cell_length_a 5.399
_cell_length_b 5.399
_cell_length_c 4.710
_cell_angle_alpha 90.00
_cell_angle_beta 90.00
_cell_angle_gamma 90.00
_space_group_name_H-M_alt 'P 4/m m m'
_space_group_IT_number 123
_space_group_name_Hall '-P 4 2'
loop_
_atom_site_label
_atom_site_fract_x
_atom_site_fract_y
_atom_site_fract_z
Cu1 0.000 0.000 0.000
Re1 0.500 0.500 0.500
Ru1 0.500 0.500 0.000
I1 0.000 0.500 0.500
```

(8)
Structure and computed X-ray powder pattern of Li4Zn5Cu (DFT lattice parameters and positions (GGA-PBE); Cu Ka).
Peak positions follow from Bragg's law for the DFT cell and can differ from measured ones.

Principal peaks in the range 2θ from 10° to 90°, by angle:
8.173 Å, 10.83°, I 36
3.269 Å, 27.28°, I 52
2.986 Å, 29.93°, I 45
2.955 Å, 30.25°, I 43
2.205 Å, 40.94°, I 100
2.192 Å, 41.18°, I 98
2.100 Å, 43.07°, I 91
1.767 Å, 51.74°, I 34

Atomic structure:
```
data_Li4Zn5Cu
_chemical_formula_sum 'Li4 Zn5 Cu1'
_cell_length_a 2.955
_cell_length_b 2.986
_cell_length_c 16.346
_cell_angle_alpha 90.00
_cell_angle_beta 90.00
_cell_angle_gamma 90.00
_space_group_name_H-M_alt 'P m m m'
_space_group_IT_number 47
_space_group_name_Hall '-P 2 2'
loop_
_atom_site_label
_atom_site_fract_x
_atom_site_fract_y
_atom_site_fract_z
Li1 0.000 0.000 0.103
Li2 0.000 0.000 0.310
Zn1 0.500 0.500 0.000
Zn2 0.500 0.500 0.207
Zn3 0.500 0.500 0.410
Cu1 0.000 0.000 0.500
```

(9)
Structure and computed X-ray powder pattern of Cs2NaIrCl6 (DFT lattice parameters and positions (GGA-PBE); Cu Ka).
Peak positions follow from Bragg's law for the DFT cell and can differ from measured ones.

Principal peaks in the range 2θ from 10° to 90°, by angle:
6.739 Å, 13.14°, I 74
6.419 Å, 13.79°, I 46
4.648 Å, 19.09°, I 94
3.706 Å, 24.01°, I 96
2.983 Å, 29.95°, I 55
2.898 Å, 30.86°, I 100
2.324 Å, 38.75°, I 71
1.969 Å, 46.10°, I 47

Atomic structure:
```
data_Cs2NaIrCl6
_chemical_formula_sum 'Cs2 Na1 Ir1 Cl6'
_cell_length_a 7.4125
_cell_length_b 7.4125
_cell_length_c 6.7388
_cell_angle_alpha 90.00
_cell_angle_beta 90.00
_cell_angle_gamma 120.00
_space_group_name_H-M_alt 'P -3 m 1'
_space_group_IT_number 164
_space_group_name_Hall '-P 3 2"'
loop_
_atom_site_label
_atom_site_fract_x
_atom_site_fract_y
_atom_site_fract_z
Cs1 0.3333 0.6667 0.1996
Na1 0.0000 0.0000 0.5000
Ir1 0.0000 0.0000 0.0000
Cl1 0.1513 0.3027 0.7942
```

(10)
Structure and computed X-ray powder pattern of YGa40Mo8 (DFT lattice parameters and positions (GGA-PBE); Cu Ka).
Peak positions follow from Bragg's law for the DFT cell and can differ from measured ones.

Principal peaks in the range 2θ from 10° to 90°, by angle:
2.904 Å, 30.79°, I 57
2.364 Å, 38.06°, I 49
2.282 Å, 39.48°, I 40
2.276 Å, 39.59°, I 58
2.264 Å, 39.82°, I 80
2.169 Å, 41.63°, I 84
2.072 Å, 43.69°, I 100
2.036 Å, 44.51°, I 80

Atomic structure:
```
data_YGa40Mo8
_chemical_formula_sum 'Y3 Ga120 Mo24'
_cell_length_a 14.1026
_cell_length_b 14.1026
_cell_length_c 15.3684
_cell_angle_alpha 90.00
_cell_angle_beta 90.00
_cell_angle_gamma 120.00
_space_group_name_H-M_alt 'R -3'
_space_group_IT_number 148
_space_group_name_Hall '-R 3'
loop_
_atom_site_label
_atom_site_fract_x
_atom_site_fract_y
_atom_site_fract_z
Y1 0.0000 0.0000 0.0000
Ga1 0.0000 0.0000 0.5000
Ga2 0.0000 0.5000 0.0000
Ga3 0.0062 0.8196 0.7768
Ga4 0.0125 0.1261 0.6535
Ga5 0.0116 0.8441 0.1269
Ga6 0.0134 0.3204 0.7642
Ga7 0.0382 0.4960 0.6614
Ga8 0.0863 0.5573 0.1737
Mo1 0.0000 0.0000 0.2123
Mo2 0.0141 0.3067 0.5948
```

(11)
Structure and computed X-ray powder pattern of Dy4GaCuRu2 (DFT lattice parameters and positions (GGA-PBE); Cu Ka).
Peak positions follow from Bragg's law for the DFT cell and can differ from measured ones.

Principal peaks in the range 2θ from 10° to 90°, by angle:
3.462 Å, 25.73°, I 11
2.448 Å, 36.71°, I 100
1.999 Å, 45.38°, I 3
1.731 Å, 52.90°, I 17
1.548 Å, 59.73°, I 4
1.413 Å, 66.12°, I 35
1.224 Å, 78.08°, I 11
1.095 Å, 89.53°, I 16

Atomic structure:
```
data_Dy4GaCuRu2
_chemical_formula_sum 'Dy12 Ga3 Cu3 Ru6'
_cell_length_a 4.8965
_cell_length_b 4.8965
_cell_length_c 23.9761
_cell_angle_alpha 90.00
_cell_angle_beta 90.00
_cell_angle_gamma 120.00
_space_group_name_H-M_alt 'R -3 m'
_space_group_IT_number 166
_space_group_name_Hall '-R 3 2"'
loop_
_atom_site_label
_atom_site_fract_x
_atom_site_fract_y
_atom_site_fract_z
Dy1 0.0000 0.0000 0.1224
Dy2 0.0000 0.0000 0.3729
Ga1 0.0000 0.0000 0.5000
Cu1 0.0000 0.0000 0.0000
Ru1 0.0000 0.0000 0.2488
```

(12)
Structure and computed X-ray powder pattern of LaTm4Ge4 (DFT lattice parameters and positions (GGA-PBE); Cu Ka).
Peak positions follow from Bragg's law for the DFT cell and can differ from measured ones.

Principal peaks in the range 2θ from 10° to 90°, by angle:
6.599 Å, 13.42°, I 43
3.367 Å, 26.47°, I 45
2.951 Å, 30.28°, I 100
2.854 Å, 31.34°, I 27
2.725 Å, 32.87°, I 66
2.356 Å, 38.20°, I 42
2.102 Å, 43.04°, I 63
1.773 Å, 51.56°, I 31

Atomic structure:
```
data_LaTm4Ge4
_chemical_formula_sum 'La2 Tm8 Ge8'
_cell_length_a 9.333
_cell_length_b 9.333
_cell_length_c 5.698
_cell_angle_alpha 90.00
_cell_angle_beta 90.00
_cell_angle_gamma 90.00
_space_group_name_H-M_alt 'P 42/n'
_space_group_IT_number 86
loop_
_space_group_symop_operation_xyz
'x,y,z'
'-x,-y,-z'
'-y,x+1/2,z+1/2'
'y,-x+1/2,-z+1/2'
'-x+1/2,-y+1/2,z'
'x+1/2,y+1/2,-z'
'y+1/2,-x,z+1/2'
'-y+1/2,x,-z+1/2'
loop_
_atom_site_label
_atom_site_fract_x
_atom_site_fract_y
_atom_site_fract_z
La1 0.250 0.250 0.250
Tm1 0.104 0.637 0.137
Ge1 0.053 0.594 0.647
```